For CaTe3, a DFT-relaxed cell (PBE, Alexandria) gives the simulated powder diffractogram in this record (Cu Ka).

Structural model:
Unit cell a=4.526 b=4.078 c=7.141 alpha=90.00 beta=100.78 gamma=90.00
Fractional coordinates of all 4 atoms:
Ca (0.000, 0.000, 0.000)
Te (0.000, 0.000, 0.500)
Te (0.364, 0.500, 0.769)
Te (0.636, 0.500, 0.231)

Main lines, in order of falling intensity (15° ≤ 2θ ≤ 90°):
| d [Å] | Rel. int. |
| --- | --- |
| 2.659 | 100.0 |
| 3.006 | 91.3 |
| 4.120 | 76.8 |
| 2.644 | 36.6 |
| 2.533 | 35.6 |
| 3.045 | 34.4 |



For SrMg3Tl, a DFT-relaxed cell (PBE, Alexandria) gives the simulated powder diffractogram in this record (Cu Ka).

Structural model:
Unit cell a=4.665 b=4.665 c=7.463 alpha=108.03 beta=108.03 gamma=89.96
Fractional coordinates of all 5 atoms:
Sr (0.000, 0.000, 0.000)
Mg (0.259, 0.759, 0.518)
Mg (0.614, 0.614, 0.228)
Mg (0.759, 0.259, 0.518)
Tl (0.399, 0.399, 0.799)

Main lines, in order of falling intensity (15° ≤ 2θ ≤ 90°):
| d [Å] | Rel. int. |
| --- | --- |
| 2.331 | 100.0 |
| 2.962 | 84.0 |
| 4.406 | 82.2 |
| 3.299 | 75.9 |
| 3.235 | 58.7 |
| 3.223 | 58.2 |



For Cr3Ir3Rh5, a DFT-relaxed cell (PBE, Alexandria) gives the simulated powder diffractogram in this record (Cu Ka).

Structural model:
Unit cell a=8.419 b=8.419 c=2.738 alpha=90.00 beta=90.00 gamma=120.00
Fractional coordinates of all 11 atoms:
Cr (0.000, 0.417, 0.000)
Cr (0.417, 0.000, 0.000)
Cr (0.583, 0.583, 0.000)
Ir (0.000, 0.179, 0.500)
Ir (0.179, 0.000, 0.500)
Ir (0.821, 0.821, 0.500)
Rh (0.000, 0.649, 0.500)
Rh (0.333, 0.667, 0.500)
Rh (0.351, 0.351, 0.500)
Rh (0.649, 0.000, 0.500)
Rh (0.667, 0.333, 0.500)

Main lines, in order of falling intensity (15° ≤ 2θ ≤ 90°):
| d [Å] | Rel. int. |
| --- | --- |
| 1.943 | 100.0 |
| 2.756 | 97.1 |
| 1.669 | 64.6 |
| 2.738 | 60.6 |
| 2.105 | 51.4 |
| 2.022 | 48.8 |